Starting from a structure optimized by DFT (GGA-PBE), the X-ray diffraction stick pattern of Na2PtBr6 was simulated for a wavelength of 1.5418 Å.
Lines closer than 0.1° are merged.

Main lines, most intense first (10° ≤ 2θ ≤ 90°):
2θ/deg	d (Å)	I_rel
15.0	5.893	100.0
29.1	3.072	64.8
17.4	5.092	42.7
39.6	2.277	37.4
17.3	5.128	34.1
35.0	2.564	33.8
35.3	2.546	33.0
53.8	1.703	29.0
53.2	1.723	28.0
38.4	2.344	27.5
50.5	1.807	23.2
30.3	2.947	18.2

Structural model:
Cell lengths 7.201, 7.201, 10.256 Å; angles 90.00, 90.00, 90.00 degrees
Space group I4/m (No. 87)
Unique sites:
Na: 0.000 0.500 0.250 (multiplicity 4)
Pt: 0.000 0.000 0.000 (multiplicity 2)
Br: 0.000 0.000 0.244 (multiplicity 4)
Br: 0.162 0.307 0.000 (multiplicity 8)